# 1
Calculated PXRD pattern
Compound: NaCuPO4
Radiation: λ = 1.5418 Å (Cu Kα)
Structure: a DFT-relaxed cell (GGA-PBE, the Materials Project)
No peak broadening, texture or thermal motion is included.

Most intense lines, 10° ≤ 2θ ≤ 90°, by angle:
| 2θ/deg | I (rel.) |
| --- | --- |
| 19.7 | 20.8 |
| 20.2 | 40.0 |
| 30.5 | 73.5 |
| 32.4 | 62.3 |
| 34.8 | 100.0 |
| 35.7 | 20.3 |
| 48.1 | 21.6 |
| 51.9 | 18.3 |

Cell and atoms:
```
data_NaCuPO4
_space_group_name_H-M_alt 'P 1 21/c 1'
_space_group_IT_number 14
_cell_length_a 5.081
_cell_length_b 9.000
_cell_length_c 8.087
_cell_angle_alpha 90.00
_cell_angle_beta 119.93
_cell_angle_gamma 90.00
loop_
_space_group_symop_operation_xyz
'x,y,z'
'-x,-y,-z'
'-x,y+1/2,-z+1/2'
'x,-y+1/2,z+1/2'
loop_
_atom_site_label
_atom_site_fract_x
_atom_site_fract_y
_atom_site_fract_z
Na1 0.151 0.144 0.197
Cu1 0.000 0.000 0.500
Cu2 0.500 0.000 0.000
P1 0.352 0.675 0.802
O1 0.080 0.623 0.825
O2 0.292 0.605 0.610
O3 0.330 0.134 0.531
O4 0.346 0.651 0.285
```


# 2
Calculated PXRD pattern
Compound: NaCuP3O9
Radiation: λ = 1.5418 Å (Cu Kα)
Structure: a DFT-relaxed cell (GGA-PBE, the Materials Project)
No peak broadening, texture or thermal motion is included.

Most intense lines, 10° ≤ 2θ ≤ 90°, by angle:
| 2θ/deg | I (rel.) |
| --- | --- |
| 17.4 | 59.3 |
| 22.0 | 34.7 |
| 22.1 | 56.4 |
| 23.3 | 34.9 |
| 24.4 | 85.2 |
| 25.3 | 29.8 |
| 31.4 | 100.0 |
| 33.4 | 51.3 |

Cell and atoms:
```
data_NaCuP3O9
_space_group_name_H-M_alt 'P 21 21 21'
_space_group_IT_number 19
_cell_length_a 8.419
_cell_length_b 8.993
_cell_length_c 9.065
_cell_angle_alpha 90.00
_cell_angle_beta 90.00
_cell_angle_gamma 90.00
loop_
_space_group_symop_operation_xyz
'x,y,z'
'-x+1/2,-y,z+1/2'
'x+1/2,-y+1/2,-z'
'-x,y+1/2,-z+1/2'
loop_
_atom_site_label
_atom_site_fract_x
_atom_site_fract_y
_atom_site_fract_z
Na1 0.122 0.077 0.108
Cu1 0.099 0.861 0.384
P1 0.048 0.676 0.048
P2 0.061 0.060 0.731
P3 0.227 0.576 0.565
O1 0.023 0.195 0.617
O2 0.060 0.078 0.359
O3 0.085 0.826 0.108
O4 0.111 0.925 0.646
O5 0.112 0.529 0.698
O6 0.131 0.645 0.442
O7 0.136 0.333 0.123
O8 0.168 0.119 0.852
O9 0.212 0.585 0.013
```


# 3
Calculated PXRD pattern
Compound: Na6Cu9P8O32
Radiation: λ = 1.5418 Å (Cu Kα)
Structure: a DFT-relaxed cell (GGA-PBE, the Materials Project)
No peak broadening, texture or thermal motion is included.

Most intense lines, 10° ≤ 2θ ≤ 90°, by angle:
| 2θ/deg | I (rel.) |
| --- | --- |
| 16.0 | 39.4 |
| 21.4 | 43.4 |
| 27.0 | 72.1 |
| 30.9 | 100.0 |
| 31.2 | 45.7 |
| 32.5 | 42.5 |
| 33.0 | 36.4 |
| 35.0 | 35.6 |

Cell and atoms:
```
data_Na6Cu9P8O32
_space_group_name_H-M_alt 'P -1'
_space_group_IT_number 2
_cell_length_a 8.925
_cell_length_b 9.091
_cell_length_c 9.445
_cell_angle_alpha 112.84
_cell_angle_beta 100.27
_cell_angle_gamma 102.94
loop_
_space_group_symop_operation_xyz
'x,y,z'
'-x,-y,-z'
loop_
_atom_site_label
_atom_site_fract_x
_atom_site_fract_y
_atom_site_fract_z
Na1 0.007 0.297 0.242
Na2 0.331 0.310 0.850
Na3 0.352 0.068 0.436
Cu1 0.000 0.000 0.500
Cu2 0.000 0.500 0.000
Cu3 0.197 0.728 0.438
Cu4 0.287 0.113 0.068
Cu5 0.341 0.700 0.947
Cu6 0.500 0.500 0.500
P1 0.036 0.878 0.149
P2 0.167 0.375 0.592
P3 0.340 0.582 0.232
P4 0.396 0.942 0.790
O1 0.010 0.661 0.500
O2 0.073 0.882 0.318
O3 0.097 0.739 0.041
O4 0.124 0.055 0.166
O5 0.148 0.166 0.923
O6 0.151 0.531 0.204
O7 0.194 0.204 0.572
O8 0.199 0.483 0.776
O9 0.275 0.458 0.514
O10 0.280 0.822 0.832
O11 0.305 0.945 0.636
O12 0.384 0.582 0.081
O13 0.398 0.761 0.376
O14 0.412 0.460 0.275
O15 0.442 0.127 0.934
O16 0.449 0.099 0.229
```


# 4
Calculated PXRD pattern
Compound: NaCuP3O9
Radiation: λ = 1.5418 Å (Cu Kα)
Structure: a DFT-relaxed cell (GGA-PBE, the Materials Project)
No peak broadening, texture or thermal motion is included.

Most intense lines, 10° ≤ 2θ ≤ 90°, by angle:
| 2θ/deg | I (rel.) |
| --- | --- |
| 11.4 | 74.3 |
| 19.2 | 33.2 |
| 20.9 | 31.5 |
| 21.8 | 31.6 |
| 25.4 | 38.6 |
| 28.7 | 31.4 |
| 29.4 | 100.0 |
| 33.0 | 64.9 |

Cell and atoms:
```
data_NaCuP3O9
_space_group_name_H-M_alt 'P -1'
_space_group_IT_number 2
_cell_length_a 9.712
_cell_length_b 9.726
_cell_length_c 9.788
_cell_angle_alpha 106.83
_cell_angle_beta 105.58
_cell_angle_gamma 111.87
loop_
_space_group_symop_operation_xyz
'x,y,z'
'-x,-y,-z'
loop_
_atom_site_label
_atom_site_fract_x
_atom_site_fract_y
_atom_site_fract_z
Na1 0.066 0.156 0.494
Na2 0.172 0.880 0.315
Cu1 0.232 0.246 0.276
Cu2 0.294 0.602 0.213
P1 0.084 0.684 0.919
P2 0.149 0.010 0.902
P3 0.218 0.460 0.846
P4 0.343 0.075 0.710
P5 0.399 0.516 0.648
P6 0.432 0.811 0.591
O1 0.015 0.061 0.237
O2 0.081 0.298 0.719
O3 0.096 0.404 0.194
O4 0.131 0.701 0.084
O5 0.174 0.862 0.919
O6 0.179 0.134 0.054
O7 0.179 0.606 0.839
O8 0.193 0.011 0.565
O9 0.271 0.358 0.503
O10 0.277 0.473 0.011
O11 0.298 0.099 0.861
O12 0.321 0.754 0.420
O13 0.363 0.661 0.638
O14 0.374 0.511 0.802
O15 0.387 0.117 0.357
O16 0.391 0.932 0.705
O17 0.425 0.442 0.318
O18 0.489 0.233 0.752
```


# 5
Calculated PXRD pattern
Compound: Na2CuP2O7
Radiation: λ = 1.5418 Å (Cu Kα)
Structure: a DFT-relaxed cell (GGA-PBE, the Materials Project)
No peak broadening, texture or thermal motion is included.

Most intense lines, 10° ≤ 2θ ≤ 90°, by angle:
| 2θ/deg | I (rel.) |
| --- | --- |
| 11.6 | 76.1 |
| 19.9 | 17.9 |
| 22.4 | 39.3 |
| 24.5 | 12.1 |
| 26.5 | 100.0 |
| 27.6 | 14.0 |
| 32.6 | 16.9 |
| 58.1 | 11.5 |

Cell and atoms:
```
data_Na2CuP2O7
_space_group_name_H-M_alt 'C 1 2/c 1'
_space_group_IT_number 15
_cell_length_a 16.895
_cell_length_b 5.160
_cell_length_c 9.007
_cell_angle_alpha 90.00
_cell_angle_beta 114.93
_cell_angle_gamma 90.00
loop_
_space_group_symop_operation_xyz
'x,y,z'
'-x,-y,-z'
'-x,y,-z+1/2'
'x,-y,z+1/2'
'x+1/2,y+1/2,z'
'-x+1/2,-y+1/2,-z'
'-x+1/2,y+1/2,-z+1/2'
'x+1/2,-y+1/2,z+1/2'
loop_
_atom_site_label
_atom_site_fract_x
_atom_site_fract_y
_atom_site_fract_z
Na1 0.193 0.138 0.068
Cu1 0.000 0.000 0.000
P1 0.092 0.355 0.312
O1 0.000 0.485 0.750
O2 0.091 0.163 0.443
O3 0.092 0.212 0.160
O4 0.166 0.452 0.878
```


# 6
Calculated PXRD pattern
Compound: NaCuPO4
Radiation: λ = 1.5418 Å (Cu Kα)
Structure: a DFT-relaxed cell (GGA-PBE, the Materials Project)
No peak broadening, texture or thermal motion is included.

Most intense lines, 10° ≤ 2θ ≤ 90°, by angle:
| 2θ/deg | I (rel.) |
| --- | --- |
| 15.1 | 58.8 |
| 18.0 | 51.1 |
| 23.8 | 89.0 |
| 24.3 | 79.3 |
| 28.6 | 62.3 |
| 32.0 | 100.0 |
| 33.0 | 72.0 |
| 35.2 | 83.7 |

Cell and atoms:
```
data_NaCuPO4
_space_group_name_H-M_alt 'P 21 21 21'
_space_group_IT_number 19
_cell_length_a 4.848
_cell_length_b 7.312
_cell_length_c 9.838
_cell_angle_alpha 90.00
_cell_angle_beta 90.00
_cell_angle_gamma 90.00
loop_
_space_group_symop_operation_xyz
'x,y,z'
'-x+1/2,-y,z+1/2'
'x+1/2,-y+1/2,-z'
'-x,y+1/2,-z+1/2'
loop_
_atom_site_label
_atom_site_fract_x
_atom_site_fract_y
_atom_site_fract_z
Na1 0.017 0.233 0.188
Cu1 0.001 0.064 0.543
P1 0.064 0.972 0.865
O1 0.165 0.026 0.721
O2 0.194 0.780 0.896
O3 0.207 0.106 0.968
O4 0.246 0.523 0.125
```


# 7
Calculated PXRD pattern
Compound: NaCuP2O7
Radiation: λ = 1.5418 Å (Cu Kα)
Structure: a DFT-relaxed cell (GGA-PBE, the Materials Project)
No peak broadening, texture or thermal motion is included.

Most intense lines, 10° ≤ 2θ ≤ 90°, by angle:
| 2θ/deg | I (rel.) |
| --- | --- |
| 16.3 | 100.0 |
| 20.0 | 41.5 |
| 21.0 | 18.9 |
| 21.8 | 27.1 |
| 24.0 | 29.7 |
| 24.5 | 22.2 |
| 30.4 | 21.4 |
| 32.9 | 25.7 |

Cell and atoms:
```
data_NaCuP2O7
_space_group_name_H-M_alt 'P 1 21/c 1'
_space_group_IT_number 14
_cell_length_a 4.972
_cell_length_b 13.807
_cell_length_c 10.006
_cell_angle_alpha 90.00
_cell_angle_beta 117.57
_cell_angle_gamma 90.00
loop_
_space_group_symop_operation_xyz
'x,y,z'
'-x,-y,-z'
'-x,y+1/2,-z+1/2'
'x,-y+1/2,z+1/2'
loop_
_atom_site_label
_atom_site_fract_x
_atom_site_fract_y
_atom_site_fract_z
Na1 0.084 0.120 0.364
Cu1 0.061 0.159 0.762
P1 0.272 0.679 0.544
P2 0.478 0.537 0.767
O1 0.073 0.691 0.378
O2 0.149 0.721 0.649
O3 0.231 0.559 0.820
O4 0.260 0.113 0.655
O5 0.326 0.564 0.587
O6 0.408 0.225 0.905
O7 0.432 0.566 0.208
```